Computed PXRD pattern of Na2ZnSi2O6 for Cu Kα X-rays, from a crystal structure in OQMD, relaxed with PBE.

```
Na2ZnSi2O6
1.0
0.000 10.663 3.682
3.551 0.000 3.682
3.551 10.663 0.000
Na Zn Si O
4 2 4 12
direct
0.307 0.693 0.348
0.598 0.902 0.557
0.693 0.307 0.652
0.902 0.598 0.943
0.477 0.477 0.523
0.727 0.727 0.773
0.071 0.329 0.094
0.156 0.744 0.179
0.329 0.071 0.506
0.744 0.156 0.921
0.012 0.056 0.255
0.056 0.012 0.678
0.077 0.649 0.390
0.311 0.383 0.530
0.366 0.860 0.601
0.383 0.311 0.776
0.474 0.720 0.867
0.572 0.995 0.194
0.649 0.077 0.884
0.720 0.474 0.939
0.860 0.366 0.173
0.995 0.572 0.238
```

Top 6 peaks for 10° ≤ 2θ ≤ 90°, low angle first:
two_theta, intensity
17.84, 29
21.41, 86
35.10, 100
35.74, 18
62.56, 19
63.80, 23